Record 1
Theoretical powder XRD pattern of Pr3Nd4Ho2 for Cu Kα (λ = 1.5418 Å), from a DFT-relaxed cell (PBE, Alexandria).
Lines closer than 0.1° are merged.

Principal peaks in the range 10 to 80 degrees two-theta, sorted by position:
2theta	d/Å	I (rel.)
28.23	3.161	535
29.42	3.036	573
31.18	2.869	806
32.73	2.736	1000
34.54	2.597	138
41.23	2.190	364
49.97	1.825	420
52.27	1.750	126
55.33	1.661	275
59.06	1.564	480
60.08	1.540	124
61.03	1.518	235

Atomic structure:
```
Pr3Nd4Ho2
1.0
3.6502 0.0000 0.0000
-1.8251 3.1611 0.0000
0.0000 0.0000 27.3200
Pr Nd Ho
3 4 2
Direct
0.0000 0.0000 0.0000 Pr
0.0000 0.0000 0.3359 Pr
0.6667 0.3333 0.6720 Pr
0.0000 0.0000 0.5596 Nd
0.0000 0.0000 0.7855 Nd
0.6667 0.3333 0.2278 Nd
0.6667 0.3333 0.4500 Nd
0.6667 0.3333 0.1040 Ho
0.6667 0.3333 0.8902 Ho
```

Record 2
Theoretical powder XRD pattern of Dy3TeC for Cu Kα (λ = 1.5418 Å), from a DFT-relaxed cell (PBE, Alexandria).
Lines closer than 0.1° are merged.

Principal peaks in the range 10 to 80 degrees two-theta, sorted by position:
2theta	d/Å	I (rel.)
25.85	3.446	233
27.44	3.250	204
27.76	3.214	176
30.04	2.975	1000
30.51	2.930	252
34.33	2.612	235
35.46	2.532	199
37.10	2.424	190
37.74	2.384	189
41.49	2.176	179
44.22	2.048	259
48.31	1.884	164

Atomic structure:
```
Dy3TeC
1.0
1.8839 -9.6408 0.0000
1.8839 9.6408 0.0000
0.0000 0.0000 7.3807
Dy Te C
6 2 2
Direct
0.0764 0.9236 0.5000 Dy
0.2650 0.7350 0.8987 Dy
0.4001 0.5999 0.6202 Dy
0.5999 0.4001 0.1202 Dy
0.7350 0.2650 0.3987 Dy
0.9236 0.0764 0.0000 Dy
0.3463 0.6537 0.2475 Te
0.6537 0.3463 0.7475 Te
0.1575 0.8425 0.2651 C
0.8425 0.1575 0.7651 C
```

Record 3
Theoretical powder XRD pattern of CaNp6S8 for Cu Kα (λ = 1.5418 Å), from a DFT-relaxed cell (PBE, Alexandria).
Lines closer than 0.1° are merged.

Principal peaks in the range 10 to 80 degrees two-theta, sorted by position:
2theta	d/Å	I (rel.)
16.03	5.530	321
22.74	3.910	290
27.95	3.192	893
32.38	2.765	1000
36.33	2.473	181
39.94	2.257	141
46.45	1.955	733
55.08	1.667	450
57.76	1.596	257
67.79	1.382	120
74.85	1.269	187
77.14	1.236	336

Atomic structure:
```
CaNp6S8
1.0
0.0000 5.5295 5.5295
5.5295 0.0000 5.5295
5.5295 5.5295 0.0000
Ca Np S
1 6 8
Direct
0.0000 0.0000 0.0000 Ca
0.0000 0.0000 0.5000 Np
0.0000 0.5000 0.0000 Np
0.0000 0.5000 0.5000 Np
0.5000 0.0000 0.0000 Np
0.5000 0.0000 0.5000 Np
0.5000 0.5000 0.0000 Np
0.2500 0.2500 0.2500 S
0.2524 0.2524 0.7476 S
0.2524 0.7476 0.2524 S
0.2524 0.7476 0.7476 S
0.7476 0.2524 0.2524 S
0.7476 0.2524 0.7476 S
0.7476 0.7476 0.2524 S
0.7500 0.7500 0.7500 S
```

Record 4
Theoretical powder XRD pattern of Ac5Ga2O12 for Cu Kα (λ = 1.5418 Å), from a DFT-relaxed cell (PBE, Alexandria).
Lines closer than 0.1° are merged.

Principal peaks in the range 10 to 80 degrees two-theta, sorted by position:
2theta	d/Å	I (rel.)
25.46	3.498	948
26.28	3.391	1000
28.47	3.136	265
30.59	2.922	302
30.78	2.905	346
42.28	2.138	246
42.42	2.131	217
42.91	2.108	143
44.97	2.016	182
48.62	1.873	160
49.09	1.856	185
52.27	1.750	186

Atomic structure:
```
Ac5Ga2O12
1.0
6.6253 -3.1355 0.0000
6.6253 3.1355 0.0000
-2.4085 0.0000 7.6957
Ac Ga O
5 2 12
Direct
0.0000 0.0000 0.0000 Ac
0.3067 0.3067 0.6611 Ac
0.3148 0.3148 0.1487 Ac
0.6852 0.6852 0.8513 Ac
0.6933 0.6933 0.3389 Ac
0.2435 0.7565 0.5000 Ga
0.7565 0.2435 0.5000 Ga
0.0047 0.0047 0.6726 O
0.0918 0.5956 0.9192 O
0.1023 0.5859 0.4240 O
0.4044 0.9082 0.0808 O
0.4141 0.8977 0.5760 O
0.4975 0.4975 0.6666 O
0.5025 0.5025 0.3334 O
0.5859 0.1023 0.4240 O
0.5956 0.0918 0.9192 O
0.8977 0.4141 0.5760 O
0.9082 0.4044 0.0808 O
0.9953 0.9953 0.3274 O
```